Ca8Sb5I: computed powder diffractogram (Cu Kα X-rays), based on a crystal structure in Alexandria, relaxed with GGA-PBE.
Intensities are scaled so that the largest is 100.

Crystal structure
a b c (Å): 8.280 8.280 8.280
angles (deg): 109.46 109.46 109.50
Atoms (fractional coordinates):
Ca  0.136  0.225  0.760
Ca  0.145  0.754  0.761
Ca  0.246  0.007  0.391
Ca  0.465  0.376  0.240
Ca  0.616  0.855  0.609
Ca  0.624  0.864  0.089
Ca  0.775  0.535  0.911
Ca  0.993  0.384  0.239
Sb  0.000  0.000  0.000
Sb  0.251  0.633  0.117
Sb  0.367  0.484  0.618
Sb  0.516  0.135  0.883
Sb  0.865  0.749  0.382
I  0.750  0.250  0.500

Peak list (6 most intense, 2θ = 15–90°, in order of rising 2θ)
two_theta  I (rel.)
22.8  65
29.5  100
35.1  64
42.3  34
48.6  26
59.6  34